Structure and computed powder diffractogram of ZnFeSiO5 (a cell relaxed with PBE+U; Cu Ka).
Peak positions follow from Bragg's law for the DFT cell and can differ from measured ones.

Crystal structure
```
data_ZnFeSiO5
_chemical_formula_sum 'Zn2 Fe2 Si2 O10'
_symmetry_space_group_name_H-M 'P -1'
_symmetry_Int_Tables_number 2
_cell_length_a 5.471
_cell_length_b 5.485
_cell_length_c 7.120
_cell_angle_alpha 108.50
_cell_angle_beta 108.58
_cell_angle_gamma 95.83
loop_
_symmetry_equiv_pos_as_xyz
'x,y,z'
'-x,-y,-z'
loop_
_atom_site_label
_atom_site_type_symbol
_atom_site_fract_x
_atom_site_fract_y
_atom_site_fract_z
Zn1 Zn 0.163 0.291 0.251
Fe1 Fe 0.500 0.000 0.000
Fe2 Fe 0.500 0.000 0.500
Si1 Si 0.135 0.339 0.745
O1 O 0.191 0.689 0.348
O2 O 0.208 0.666 0.855
O3 O 0.223 0.197 0.919
O4 O 0.249 0.235 0.554
O5 O 0.424 0.079 0.251
```

Peak list (12 most intense, 2θ = 10–90°, sorted by position)
d = 4.934 Å, 2θ = 18.0°, I 21, (0 1 -1); d = 3.261 Å, 2θ = 27.3°, I 98, (1 0 -2); d = 3.232 Å, 2θ = 27.6°, I 100, (1 1 0); d = 2.499 Å, 2θ = 35.9°, I 55, (2 -1 0); d = 2.482 Å, 2θ = 36.2°, I 18, (1 -1 2); d = 2.467 Å, 2θ = 36.4°, I 13, (0 2 -2); d = 2.248 Å, 2θ = 40.1°, I 13, (0 1 -3); d = 1.780 Å, 2θ = 51.3°, I 23, (1 1 -4); d = 1.689 Å, 2θ = 54.3°, I 18, (0 3 0); d = 1.684 Å, 2θ = 54.5°, I 19, (3 0 0); d = 1.616 Å, 2θ = 57.0°, I 12, (2 2 0); d = 1.479 Å, 2θ = 62.8°, I 14, (2 -3 2)